1.
The following is a calculated PXRD pattern of Dy6YTl5. It was derived from a DFT-relaxed cell (PBE, Alexandria), using λ = 1.5418 Å (Cu Kα).
Intensities are scaled so that the largest is 100.

Principal peaks in the range 2θ from 5° to 70°, low angle first:
2θ 31.1, I = 4.6; 2θ 32.3, I = 100.0; 2θ 35.5, I = 17.8; 2θ 35.9, I = 20.2; 2θ 40.9, I = 12.8; 2θ 51.3, I = 12.5; 2θ 55.2, I = 9.1; 2θ 55.5, I = 10.6; 2θ 61.7, I = 11.7; 2θ 62.2, I = 15.5; 2θ 67.6, I = 9.9; 2θ 69.0, I = 9.2

Crystal structure
abc: 9.135 9.135 9.135
angles: 148.20 122.17 67.52
Atoms (fractional coordinates):
Dy (0.065, 0.330, 0.736)
Dy (0.225, 0.000, 0.225)
Dy (0.406, 0.670, 0.736)
Dy (0.594, 0.330, 0.264)
Dy (0.775, 0.000, 0.775)
Dy (0.935, 0.670, 0.264)
Y (0.500, 0.500, 0.000)
Tl (0.000, 0.500, 0.500)
Tl (0.180, 0.180, 0.000)
Tl (0.353, 0.853, 0.500)
Tl (0.647, 0.147, 0.500)
Tl (0.820, 0.820, 0.000)


2.
The following is a calculated PXRD pattern of Cd4Hg3Pb2. It was derived from a DFT-relaxed cell (PBE, Alexandria), using λ = 1.5418 Å (Cu Kα).
Intensities are scaled so that the largest is 100.

Principal peaks in the range 2θ from 5° to 70°, low angle first:
2θ 16.8, I = 3.8; 2θ 21.0, I = 2.9; 2θ 28.9, I = 3.5; 2θ 29.8, I = 3.5; 2θ 31.3, I = 100.0; 2θ 38.3, I = 18.4; 2θ 38.5, I = 56.3; 2θ 50.6, I = 26.3; 2θ 60.3, I = 14.4; 2θ 60.8, I = 15.2; 2θ 65.2, I = 23.2; 2θ 65.4, I = 11.9

Crystal structure
abc: 3.606 3.606 21.136
angles: 90.04 90.04 59.95
Atoms (fractional coordinates):
Cd (0.001, 0.001, 0.159)
Cd (0.334, 0.334, 0.604)
Cd (0.666, 0.666, 0.396)
Cd (0.999, 0.999, 0.841)
Hg (0.000, 0.000, 0.500)
Hg (0.333, 0.333, 0.945)
Hg (0.667, 0.667, 0.055)
Pb (0.332, 0.332, 0.277)
Pb (0.668, 0.668, 0.723)


3.
The following is a calculated PXRD pattern of Ho2BeSiRh6. It was derived from a DFT-relaxed cell (PBE, Alexandria), using λ = 1.5418 Å (Cu Kα).
Intensities are scaled so that the largest is 100.

Principal peaks in the range 2θ from 5° to 70°, low angle first:
2θ 20.4, I = 1.8; 2θ 29.1, I = 6.9; 2θ 35.8, I = 100.0; 2θ 41.6, I = 56.8; 2θ 45.5, I = 0.9; 2θ 46.7, I = 1.2; 2θ 51.5, I = 2.8; 2θ 54.9, I = 0.6; 2θ 60.2, I = 31.1; 2θ 60.3, I = 6.2; 2θ 64.3, I = 0.5; 2θ 68.2, I = 1.4

Crystal structure
abc: 6.145 6.145 6.145
angles: 120.04 119.93 90.03
Atoms (fractional coordinates):
Ho (0.250, 0.250, 0.000)
Ho (0.750, 0.750, 0.000)
Be (0.500, 0.000, 0.500)
Si (0.000, 0.500, 0.500)
Rh (0.257, 0.242, 0.500)
Rh (0.257, 0.758, 0.015)
Rh (0.258, 0.758, 0.500)
Rh (0.742, 0.242, 0.500)
Rh (0.743, 0.242, 0.985)
Rh (0.743, 0.758, 0.500)


4.
The following is a calculated PXRD pattern of UGaIrO6. It was derived from a DFT-relaxed cell (PBE, Alexandria), using λ = 1.5418 Å (Cu Kα).
Intensities are scaled so that the largest is 100.

Principal peaks in the range 2θ from 5° to 70°, low angle first:
2θ 21.9, I = 26.2; 2θ 28.2, I = 100.0; 2θ 33.9, I = 52.2; 2θ 36.5, I = 8.2; 2θ 39.9, I = 6.7; 2θ 40.8, I = 6.4; 2θ 41.3, I = 8.3; 2θ 44.7, I = 29.3; 2θ 54.5, I = 40.3; 2θ 57.3, I = 28.4; 2θ 60.7, I = 16.6; 2θ 67.4, I = 10.2

Crystal structure
abc: 5.283 5.283 8.751
angles: 90.00 90.00 120.00
Atoms (fractional coordinates):
U (0.333, 0.667, 0.250)
U (0.667, 0.333, 0.750)
Ga (0.333, 0.667, 0.750)
Ga (0.667, 0.333, 0.250)
Ir (0.000, 0.000, 0.000)
Ir (0.000, 0.000, 0.500)
O (0.012, 0.336, 0.627)
O (0.012, 0.676, 0.873)
O (0.324, 0.336, 0.873)
O (0.324, 0.988, 0.627)
O (0.336, 0.012, 0.127)
O (0.336, 0.324, 0.373)
O (0.664, 0.676, 0.627)
O (0.664, 0.988, 0.873)
O (0.676, 0.012, 0.373)
O (0.676, 0.664, 0.127)
O (0.988, 0.324, 0.127)
O (0.988, 0.664, 0.373)